This entry pairs a crystal structure of Ca3Ti3N5 with its calculated XRD peak list. Radiation: Cu Kα, 1.54184 Å. Structure: a DFT-relaxed cell (GGA-PBE, the Materials Project).
Peak positions follow from Bragg's law for the DFT cell and can differ from measured ones.

Structural model:
a = 5.8134 Å, b = 7.7180 Å, c = 8.1201 Å
α = 108.27°, β = 104.03°, γ = 103.62°
Space group P-1 (No. 2)
Symmetry-distinct sites (fractional):
Ca1 0.1527 0.3214 0.3718 x2
Ca2 0.2039 0.1588 0.7232 x2
Ca3 0.2424 0.9295 0.0779 x2
Ti1 0.2243 0.4862 0.0942 x2
Ti2 0.3909 0.6352 0.7952 x2
Ti3 0.3927 0.8157 0.4922 x2
N1 0.1039 0.5520 0.8704 x2
N2 0.2352 0.2253 0.0422 x2
N3 0.2617 0.9989 0.4025 x2
N4 0.3096 0.8345 0.7163 x2
N5 0.4986 0.5956 0.3404 x2

Most intense lines, 2θ = 15–90°, low angle first:
2θ = 21.0°, I 18
2θ = 30.8°, I 22
2θ = 31.7°, I 17
2θ = 32.8°, I 100
2θ = 33.8°, I 19
2θ = 35.2°, I 62
2θ = 35.8°, I 24
2θ = 36.7°, I 16
2θ = 38.9°, I 18
2θ = 40.3°, I 20

***

This entry pairs a crystal structure of Ca7TiN6 with its calculated XRD peak list. Radiation: Cu Kα, 1.54184 Å. Structure: a DFT-relaxed cell (GGA-PBE, the Materials Project).
Peak positions follow from Bragg's law for the DFT cell and can differ from measured ones.

Structural model:
a = 6.3311 Å, b = 11.5166 Å, c = 12.8152 Å
α = 90.00°, β = 90.00°, γ = 90.00°
Space group Ibam (No. 72)
Symmetry-distinct sites (fractional):
Ca1 0.0000 0.0000 0.2500 x4
Ca2 0.1274 0.2781 0.1258 x16
Ca3 0.2220 0.0451 0.0000 x8
Ti1 0.0000 0.5000 0.2500 x4
N1 0.1110 0.1569 0.5000 x8
N2 0.1891 0.3947 0.3238 x16

Most intense lines, 2θ = 15–90°, low angle first:
2θ = 30.1°, I 21
2θ = 31.1°, I 20
2θ = 31.5°, I 22
2θ = 32.0°, I 100
2θ = 34.9°, I 40
2θ = 35.3°, I 38
2θ = 36.2°, I 18
2θ = 42.6°, I 21
2θ = 44.8°, I 16
2θ = 54.4°, I 16

***

This entry pairs a crystal structure of Ca11Ti2N10 with its calculated XRD peak list. Radiation: Cu Kα, 1.54184 Å. Structure: a DFT-relaxed cell (GGA-PBE, the Materials Project).
Peak positions follow from Bragg's law for the DFT cell and can differ from measured ones.

Structural model:
a = 15.2151 Å, b = 15.2151 Å, c = 3.6312 Å
α = 90.00°, β = 90.00°, γ = 90.00°
Space group P4_2/mnm (No. 136)
Symmetry-distinct sites (fractional):
Ca1 0.0000 0.0000 0.0000 x2
Ca2 0.0283 0.1947 0.5000 x8
Ca3 0.0863 0.6314 0.5000 x8
Ca4 0.1543 0.8457 0.0000 x4
Ti1 0.1986 0.1986 0.0000 x4
N1 0.0054 0.3128 0.0000 x8
N2 0.0803 0.9197 0.5000 x4
N3 0.1131 0.1131 0.0000 x4
N4 0.2172 0.7828 0.5000 x4

Most intense lines, 2θ = 15–90°, low angle first:
2θ = 29.7°, I 43
2θ = 29.9°, I 54
2θ = 31.7°, I 36
2θ = 32.5°, I 100
2θ = 33.3°, I 33
2θ = 35.2°, I 48
2θ = 38.6°, I 55
2θ = 41.8°, I 26
2θ = 48.8°, I 27
2θ = 50.3°, I 33

***

This entry pairs a crystal structure of Ca3TlN with its calculated XRD peak list. Radiation: Cu Kα, 1.54184 Å. Structure: a DFT-relaxed cell (GGA-PBE, the Materials Project).
Peak positions follow from Bragg's law for the DFT cell and can differ from measured ones.

Structural model:
a = 4.9538 Å, b = 4.9538 Å, c = 4.9538 Å
α = 90.00°, β = 90.00°, γ = 90.00°
Space group Pm-3m (No. 221)
Symmetry-distinct sites (fractional):
Ca1 0.0000 0.0000 0.5000 x3
Tl1 0.5000 0.5000 0.5000 x1
N1 0.0000 0.0000 0.0000 x1

Most intense lines, 2θ = 15–90°, low angle first:
2θ = 17.9°, I 56
2θ = 25.4°, I 75
2θ = 31.3°, I 100
2θ = 36.3°, I 59
2θ = 40.7°, I 32
2θ = 44.8°, I 34
2θ = 52.2°, I 40
2θ = 62.1°, I 41
2θ = 71.2°, I 17
2θ = 88.2°, I 18

***

This entry pairs a crystal structure of Ca7Tl3N2 with its calculated XRD peak list. Radiation: Cu Kα, 1.54184 Å. Structure: a DFT-relaxed cell (GGA-PBE, the Materials Project).
Peak positions follow from Bragg's law for the DFT cell and can differ from measured ones.

Structural model:
a = 4.9675 Å, b = 24.8867 Å, c = 4.8864 Å
α = 90.00°, β = 90.00°, γ = 90.00°
Space group Cmmm (No. 65)
Symmetry-distinct sites (fractional):
Ca1 0.0000 0.0000 0.0000 x2
Ca2 0.0000 0.0990 0.5000 x4
Ca3 0.0000 0.1965 0.0000 x4
Ca4 0.0000 0.3998 0.0000 x4
Tl1 0.0000 0.2934 0.5000 x4
Tl2 0.0000 0.5000 0.5000 x2
N1 0.0000 0.1028 0.0000 x4

Most intense lines, 2θ = 15–90°, low angle first:
2θ = 18.2°, I 34
2θ = 23.1°, I 17
2θ = 25.3°, I 27
2θ = 25.8°, I 15
2θ = 31.3°, I 100
2θ = 36.1°, I 40
2θ = 36.8°, I 19
2θ = 52.5°, I 25
2θ = 62.0°, I 26
2θ = 62.9°, I 13

***

This entry pairs a crystal structure of Ca3V2N4 with its calculated XRD peak list. Radiation: Cu Kα, 1.54184 Å. Structure: a DFT-relaxed cell (GGA-PBE, the Materials Project).
Peak positions follow from Bragg's law for the DFT cell and can differ from measured ones.

Structural model:
a = 10.9017 Å, b = 8.2872 Å, c = 5.4913 Å
α = 90.00°, β = 92.08°, γ = 90.00°
Space group C2/c (No. 15)
Symmetry-distinct sites (fractional):
Ca1 0.0000 0.1027 0.2500 x4
Ca2 0.1152 0.3693 0.5368 x8
V1 0.2028 0.1226 0.9132 x8
N1 0.1224 0.3253 0.0279 x8
N2 0.1629 0.0713 0.5852 x8

Most intense lines, 2θ = 15–90°, low angle first:
2θ = 16.3°, I 16
2θ = 31.0°, I 60
2θ = 32.0°, I 100
2θ = 32.6°, I 20
2θ = 35.1°, I 38
2θ = 42.9°, I 38
2θ = 43.7°, I 32
2θ = 44.0°, I 36
2θ = 47.2°, I 22
2θ = 47.9°, I 18

***

This entry pairs a crystal structure of Ca3V2N4 with its calculated XRD peak list. Radiation: Cu Kα, 1.54184 Å. Structure: a DFT-relaxed cell (GGA-PBE, the Materials Project).
Peak positions follow from Bragg's law for the DFT cell and can differ from measured ones.

Structural model:
a = 5.6493 Å, b = 9.8881 Å, c = 9.2010 Å
α = 90.00°, β = 90.00°, γ = 90.00°
Space group Pnna (No. 52)
Symmetry-distinct sites (fractional):
Ca1 0.1153 0.1554 0.0821 x8
Ca2 0.2500 0.0000 0.4031 x4
V1 0.1505 0.2500 0.7500 x4
V2 0.2500 0.0000 0.7361 x4
N1 0.0023 0.0868 0.8375 x8
N2 0.1371 0.6476 0.8757 x8

Most intense lines, 2θ = 15–90°, low angle first:
2θ = 18.4°, I 49
2θ = 19.3°, I 21
2θ = 28.8°, I 44
2θ = 33.0°, I 34
2θ = 33.2°, I 100
2θ = 34.5°, I 71
2θ = 37.1°, I 46
2θ = 38.0°, I 39
2θ = 50.1°, I 26
2θ = 60.6°, I 25

***

This entry pairs a crystal structure of Ca2VN2 with its calculated XRD peak list. Radiation: Cu Kα, 1.54184 Å. Structure: a DFT-relaxed cell (GGA-PBE, the Materials Project).
Peak positions follow from Bragg's law for the DFT cell and can differ from measured ones.

Structural model:
a = 10.9343 Å, b = 5.0756 Å, c = 6.6743 Å
α = 90.00°, β = 117.73°, γ = 90.00°
Space group C2/m (No. 12)
Symmetry-distinct sites (fractional):
Ca1 0.0302 0.0000 0.2693 x4
Ca2 0.1790 0.5000 0.1129 x4
V1 0.1363 0.5000 0.6284 x4
N1 0.0071 0.5000 0.2949 x4
N2 0.1920 0.0000 0.1259 x4

Most intense lines, 2θ = 15–90°, low angle first:
2θ = 22.1°, I 18
2θ = 30.3°, I 19
2θ = 32.5°, I 57
2θ = 32.9°, I 55
2θ = 35.0°, I 11
2θ = 35.4°, I 100
2θ = 42.6°, I 27
2θ = 50.9°, I 21
2θ = 56.6°, I 21
2θ = 61.7°, I 13